# Rb3LiErV2O8
Simulated X-ray powder pattern, Cu Kα (weighted mean of Kα1 and Kα2). Input: the GGA+U geometry in Alexandria.
Neutral-atom scattering factors, no anomalous dispersion.

Largest 8 diffraction maxima, sorted by position, 2θ from 10° to 80°:
2θ 10.00, I = 31; 2θ 19.94, I = 21; 2θ 26.56, I = 100; 2θ 30.02, I = 96; 2θ 35.07, I = 25; 2θ 40.51, I = 42; 2θ 51.23, I = 32; 2θ 51.49, I = 22

Cell and atoms:
abc: 5.953 5.953 8.843
angles: 90.00 90.00 120.00
Positions (direct):
Rb1 0.000 0.000 0.000
Rb2 0.333 0.667 0.537
Rb3 0.667 0.333 0.345
Li1 0.667 0.333 0.039
Er1 0.667 0.333 0.760
V1 0.000 0.000 0.537
V2 0.333 0.667 0.004
O1 0.000 0.000 0.346
O2 0.324 0.162 0.600
O3 0.333 0.667 0.200
O4 0.504 0.008 0.931
O5 0.504 0.496 0.931
O6 0.838 0.162 0.600
O7 0.838 0.676 0.600
O8 0.992 0.496 0.931